Record 1
Structure and simulated X-ray powder pattern of K3IrO6 (a structure optimized by DFT (GGA-PBE); Cu Kα, 1.54184 Å).
Neutral-atom scattering factors, no anomalous dispersion.

Peak list (6 most intense, 10 to 90 degrees two-theta, in order of rising 2θ)
2theta  Rel. int.
17.67  78
20.44  50
29.06  100
34.21  32
41.56  35
51.51  36

Structure:
Unit cell a=6.1461 b=6.1461 c=6.1461 alpha=60.00 beta=60.00 gamma=60.00
Positions (direct):
1 K 0.0000 0.0000 0.0000
2 K 0.2500 0.2500 0.2500
3 K 0.7500 0.7500 0.7500
4 Ir 0.5000 0.5000 0.5000
5 O 0.2866 0.2866 0.7134
6 O 0.2866 0.7134 0.2866
7 O 0.2866 0.7134 0.7134
8 O 0.7134 0.2866 0.2866
9 O 0.7134 0.2866 0.7134
10 O 0.7134 0.7134 0.2866

***

Record 2
Structure and simulated X-ray powder pattern of SrMgGa4Pt2 (a structure optimized by DFT (GGA-PBE); Cu Kα, 1.54184 Å).
Neutral-atom scattering factors, no anomalous dispersion.

Peak list (6 most intense, 10 to 90 degrees two-theta, in order of rising 2θ)
2theta  Rel. int.
17.74  78
25.67  85
33.88  86
36.28  100
42.69  73
44.62  76

Structure:
Unit cell a=7.0826 b=5.4491 c=5.4491 alpha=46.93 beta=90.00 gamma=90.00
Positions (direct):
1 Sr 0.0000 0.0000 0.0000
2 Mg 0.5000 0.8462 0.8462
3 Ga 0.2090 0.2903 0.2903
4 Ga 0.3109 0.5646 0.5646
5 Ga 0.6891 0.5646 0.5646
6 Ga 0.7910 0.2903 0.2903
7 Pt 0.0000 0.7140 0.7140
8 Pt 0.5000 0.1294 0.1294

***

Record 3
Structure and simulated X-ray powder pattern of AlCuTeSe (a structure optimized by DFT (GGA-PBE); Cu Kα, 1.54184 Å).
Neutral-atom scattering factors, no anomalous dispersion.

Peak list (6 most intense, 10 to 90 degrees two-theta, in order of rising 2θ)
2theta  Rel. int.
26.34  49
26.48  100
26.63  51
43.79  88
44.21  43
51.76  31

Structure:
Unit cell a=5.8507 b=5.8507 c=7.0753 alpha=114.00 beta=114.00 gamma=90.00
Positions (direct):
1 Al 0.1121 0.8879 0.5000
2 Al 0.8879 0.1121 0.0000
3 Cu 0.3879 0.6605 0.9997
4 Cu 0.6605 0.3879 0.4997
5 Te 0.2672 0.5120 0.2497
6 Te 0.5120 0.2672 0.7497
7 Se 0.0117 0.7601 0.7501
8 Se 0.7601 0.0117 0.2501

***

Record 4
Structure and simulated X-ray powder pattern of NdAuSO (a structure optimized by DFT (GGA-PBE); Cu Kα, 1.54184 Å).
Neutral-atom scattering factors, no anomalous dispersion.

Peak list (6 most intense, 10 to 90 degrees two-theta, in order of rising 2θ)
2theta  Rel. int.
14.38  56
24.58  67
27.97  85
29.58  99
31.57  100
38.83  51

Structure:
Unit cell a=6.2604 b=7.2443 c=7.7933 alpha=90.00 beta=100.36 gamma=90.00
Positions (direct):
1 Nd 0.1231 0.1383 0.1745
2 Nd 0.1231 0.3617 0.6745
3 Nd 0.8769 0.6383 0.3255
4 Nd 0.8769 0.8617 0.8255
5 Au 0.4466 0.7245 0.5162
6 Au 0.4466 0.7755 0.0162
7 Au 0.5534 0.2245 0.9838
8 Au 0.5534 0.2755 0.4838
9 S 0.4976 0.0834 0.7095
10 S 0.4976 0.4166 0.2095
11 S 0.5024 0.5834 0.7905
12 S 0.5024 0.9166 0.2905
13 O 0.0278 0.1550 0.8780
14 O 0.0278 0.3450 0.3780
15 O 0.9722 0.6550 0.6220
16 O 0.9722 0.8450 0.1220

***

Record 5
Structure and simulated X-ray powder pattern of ErAlZn (a structure optimized by DFT (GGA-PBE); Cu Kα, 1.54184 Å).
Neutral-atom scattering factors, no anomalous dispersion.

Peak list (6 most intense, 10 to 90 degrees two-theta, in order of rising 2θ)
2theta  Rel. int.
23.13  28
33.40  14
34.51  100
40.58  18
40.78  29
54.33  17

Structure:
Unit cell a=7.0635 b=4.4466 c=7.6532 alpha=90.00 beta=90.00 gamma=90.00
Positions (direct):
1 Er 0.0034 0.2500 0.2180
2 Er 0.4966 0.7500 0.7180
3 Er 0.5034 0.2500 0.2820
4 Er 0.9966 0.7500 0.7820
5 Al 0.2079 0.2500 0.5868
6 Al 0.2921 0.7500 0.0868
7 Al 0.7079 0.2500 0.9132
8 Al 0.7921 0.7500 0.4132
9 Zn 0.2044 0.7500 0.4150
10 Zn 0.2956 0.2500 0.9150
11 Zn 0.7044 0.7500 0.0850
12 Zn 0.7956 0.2500 0.5850

***

Record 6
Structure and simulated X-ray powder pattern of Hf2Nb4Au3C3 (a structure optimized by DFT (GGA-PBE); Cu Kα, 1.54184 Å).
Neutral-atom scattering factors, no anomalous dispersion.

Peak list (6 most intense, 10 to 90 degrees two-theta, in order of rising 2θ)
2theta  Rel. int.
32.09  23
37.62  100
38.79  20
51.19  15
57.21  19
69.44  14

Structure:
Unit cell a=5.5799 b=5.5799 c=14.3028 alpha=101.31 beta=101.31 gamma=59.94
Positions (direct):
1 Hf 0.0338 0.8706 0.5994
2 Hf 0.1294 0.9662 0.9006
3 Hf 0.8706 0.0338 0.0994
4 Hf 0.9662 0.1294 0.4006
5 Nb 0.1939 0.3569 0.0821
6 Nb 0.3015 0.4773 0.4180
7 Nb 0.3569 0.1939 0.5821
8 Nb 0.4773 0.3015 0.9180
9 Nb 0.5227 0.6985 0.0820
10 Nb 0.6431 0.8061 0.4179
11 Nb 0.6985 0.5227 0.5820
12 Nb 0.8061 0.6431 0.9179
13 Au 0.0845 0.2907 0.7511
14 Au 0.2907 0.0845 0.2511
15 Au 0.4594 0.5406 0.7500
16 Au 0.5406 0.4594 0.2500
17 Au 0.7093 0.9155 0.7489
18 Au 0.9155 0.7093 0.2489
19 C 0.0000 0.5000 0.5000
20 C 0.1642 0.6713 0.0000
21 C 0.3287 0.8358 0.5000
22 C 0.5000 0.0000 0.0000
23 C 0.6713 0.1642 0.5000
24 C 0.8358 0.3287 0.0000